The following is a computed XRD peak list of Tl2AgS4. It was derived from a DFT-relaxed cell (PBE, Alexandria), using λ = 1.5418 Å (Cu Kα).

Principal peaks in the range 15 to 90 degrees two-theta, sorted by position:
(hkl)	2theta	I (rel.)
0 2 0	17.2	32
0 0 2	18.6	45
1 1 2	24.3	49
0 2 2	25.4	53
2 0 0	26.2	33
1 3 0	29.1	67
2 2 2	36.8	100
0 0 4	37.6	30
1 3 4	48.2	33
1 5 2	49.9	50

Atomic structure:
Lattice parameters (Å, degrees): 6.795 10.333 9.564 90.00 90.00 90.00
Space group Cccm (No. 66)
Unique sites:
Tl: 0.003 0.200 0.000 (multiplicity 8)
Ag: 0.000 0.500 0.250 (multiplicity 4)
S: 0.195 0.437 0.500 (multiplicity 8)
S: 0.250 0.250 0.198 (multiplicity 8)

The following is a computed XRD peak list of LuAl. It was derived from a DFT-relaxed cell (PBE, Alexandria), using λ = 1.5418 Å (Cu Kα).

Principal peaks in the range 15 to 90 degrees two-theta, sorted by position:
(hkl)	2theta	I (rel.)
1 1 0	17.3	27
1 2 0	22.1	39
1 2 1	27.5	39
0 0 2	32.5	50
1 3 1	32.9	100
0 4 1	35.9	40
2 1 1	36.1	89
1 2 2	39.6	33
1 3 3	58.2	26
2 1 3	60.3	28

Atomic structure:
Lattice parameters (Å, degrees): 5.764 11.216 5.512 90.00 90.00 90.00
Space group Pbcm (No. 57)
Unique sites:
Lu: 0.105 0.170 0.250 (multiplicity 4)
Lu: 0.341 0.018 0.750 (multiplicity 4)
Al: 0.156 0.596 0.750 (multiplicity 4)
Al: 0.429 0.750 0.000 (multiplicity 4)

> What is the formula in the first record?

Tl2AgS4